Theoretical X-ray diffraction stick pattern
Compound: Li2FeCuP2O8
Radiation: CuKα
Structure: a PBE+U-relaxed structure
Neutral-atom scattering factors, no anomalous dispersion.

Structural model:
Cell: 4.7593 6.1256 10.1984 Å, 90.00 92.18 90.00°
Space group P2_1/m (No. 11)
Asymmetric unit:
Li (0.0000, 0.0000, 0.0000)
Li (0.5000, 0.0000, 0.5000)
Fe (0.0253, 0.2500, 0.2822)
Cu (0.4416, 0.2500, 0.7868)
P (0.0863, 0.7500, 0.4003)
P (0.4254, 0.7500, 0.9090)
O (0.2061, 0.7500, 0.5444)
O (0.2128, 0.5441, 0.3342)
O (0.2409, 0.2500, 0.6080)
O (0.2527, 0.2500, 0.0937)
O (0.2807, 0.5503, 0.8377)
O (0.3142, 0.7500, 0.0516)

Largest 10 diffraction maxima, sorted by position, 2θ from 10° to 80°:
- 2θ = 17.40°, rel. 45, (0 0 2)
- 2θ = 20.30°, rel. 53, (1 0 -1)
- 2θ = 20.91°, rel. 26, (1 0 1)
- 2θ = 25.02°, rel. 45, (1 1 -1)
- 2θ = 25.52°, rel. 57, (1 1 1)
- 2θ = 29.15°, rel. 100, (0 2 0)
- 2θ = 35.08°, rel. 51, (1 1 -3)
- 2θ = 35.79°, rel. 27, (1 2 -1)
- 2θ = 36.17°, rel. 68, (1 1 3)
- 2θ = 38.26°, rel. 27, (0 1 4)